Starting from a GGA+U-relaxed structure, the X-ray diffraction stick pattern of LiNbVO4 was computed for λ = 1.5418 Å (Cu Kα).

Most intense lines, 2θ = 10–90°, low angle first:
d/Å, 2θ/deg, Rel. int., (hkl)
5.034, 17.62, 100, 0 1 1
4.988, 17.78, 28, 1 0 1
2.644, 33.90, 20, 0 1 3
2.595, 34.57, 37, 2 1 1
2.517, 35.67, 11, 0 2 2
2.199, 41.05, 22, 0 0 4
2.156, 41.91, 43, 2 2 0
1.993, 45.52, 16, 0 3 1
1.665, 55.18, 12, 2 3 1
1.539, 60.11, 27, 2 2 4

Atomic structure:
```
data_LiNbVO4
_chemical_formula_sum 'Li4 Nb4 V4 O16'
_cell_length_a 6.0560
_cell_length_b 6.1385
_cell_length_c 8.7955
_cell_angle_alpha 90.00
_cell_angle_beta 90.00
_cell_angle_gamma 90.00
_symmetry_space_group_name_H-M 'I m m a'
_symmetry_Int_Tables_number 74
_symmetry_space_group_name_Hall '-I 2b 2'
loop_
_atom_site_label
_atom_site_type_symbol
_atom_site_fract_x
_atom_site_fract_y
_atom_site_fract_z
Li1 Li 0.0000 0.2500 0.1221
Nb1 Nb 0.2500 0.2500 0.7500
V1 V 0.0000 0.0000 0.5000
O1 O 0.0000 0.0144 0.7391
O2 O 0.2346 0.2500 0.5212
```

Starting from a GGA+U-relaxed structure, the X-ray diffraction stick pattern of Li3NbV2O6 was computed for λ = 1.5418 Å (Cu Kα).

Most intense lines, 2θ = 10–90°, low angle first:
d/Å, 2θ/deg, Rel. int., (hkl)
6.364, 13.92, 10, 0 0 1
5.025, 17.65, 100, 0 1 -1
2.576, 34.82, 29, -2 1 1
2.557, 35.10, 15, 0 1 2
2.458, 36.55, 10, 2 0 1
2.156, 41.89, 51, 2 -2 0
2.121, 42.62, 25, 0 0 3
1.963, 46.25, 11, 2 -1 2
1.520, 60.95, 14, 2 -2 3
1.505, 61.65, 14, 2 2 2

Atomic structure:
```
data_Li3NbV2O6
_chemical_formula_sum 'Li6 Nb2 V4 O12'
_cell_length_a 6.0321
_cell_length_b 6.1692
_cell_length_c 6.7418
_cell_angle_alpha 104.04
_cell_angle_beta 102.94
_cell_angle_gamma 90.00
_symmetry_space_group_name_H-M 'P -1'
_symmetry_Int_Tables_number 2
_symmetry_space_group_name_Hall '-P 1'
loop_
_atom_site_label
_atom_site_type_symbol
_atom_site_fract_x
_atom_site_fract_y
_atom_site_fract_z
Li1 Li 0.0814 0.3093 0.3436
Li2 Li 0.2516 0.0001 0.9988
Li3 Li 0.4148 0.6763 0.6641
Nb1 Nb 0.2251 0.4998 0.0001
V1 V 0.0820 0.8334 0.3253
V2 V 0.4161 0.1586 0.6664
O1 O 0.0031 0.2380 0.0127
O2 O 0.1710 0.9301 0.6561
O3 O 0.1763 0.4095 0.6782
O4 O 0.3382 0.5908 0.3195
O5 O 0.3426 0.0734 0.3441
O6 O 0.4973 0.2622 0.9906
```

Starting from a GGA+U-relaxed structure, the X-ray diffraction stick pattern of LiNbVO4 was computed for λ = 1.5418 Å (Cu Kα).

Most intense lines, 2θ = 10–90°, low angle first:
d/Å, 2θ/deg, Rel. int., (hkl)
5.051, 17.56, 100, 0 1 -1
4.975, 17.83, 27, 0 0 2
2.638, 33.98, 15, 2 -1 1
2.627, 34.13, 15, 2 -2 0
2.594, 34.58, 34, 1 0 -4
2.526, 35.54, 11, 2 0 0
2.487, 36.11, 10, 0 0 4
2.188, 41.27, 21, 2 -2 2
2.162, 41.78, 41, 2 0 -4
1.538, 60.16, 19, 2 0 4

Atomic structure:
```
data_LiNbVO4
_chemical_formula_sum 'Li4 Nb4 V4 O16'
_cell_length_a 6.1505
_cell_length_b 6.1532
_cell_length_c 10.5287
_cell_angle_alpha 91.10
_cell_angle_beta 105.92
_cell_angle_gamma 119.63
_symmetry_space_group_name_H-M 'P -1'
_symmetry_Int_Tables_number 2
_symmetry_space_group_name_Hall '-P 1'
loop_
_atom_site_label
_atom_site_type_symbol
_atom_site_fract_x
_atom_site_fract_y
_atom_site_fract_z
Li1 Li 0.1242 0.0663 0.1895
Li2 Li 0.1291 0.5526 0.6888
Nb1 Nb 0.4982 0.2271 0.7383
Nb2 Nb 0.5000 0.0000 0.5000
Nb3 Nb 0.5000 0.5000 0.0000
V1 V 0.0000 0.0000 0.5000
V2 V 0.0000 0.5000 0.0000
V3 V 0.5000 0.0000 0.0000
V4 V 0.5000 0.5000 0.5000
O1 O 0.2454 0.8791 0.6228
O2 O 0.2561 0.8460 0.1265
O3 O 0.2605 0.6155 0.8928
O4 O 0.2661 0.6254 0.3794
O5 O 0.2672 0.4045 0.1189
O6 O 0.2791 0.1313 0.3934
O7 O 0.2825 0.1492 0.8774
O8 O 0.2840 0.3633 0.6283
```

Starting from a GGA+U-relaxed structure, the X-ray diffraction stick pattern of Li6Nb3V3O16 was computed for λ = 1.5418 Å (Cu Kα).

Most intense lines, 2θ = 10–90°, low angle first:
d/Å, 2θ/deg, Rel. int., (hkl)
5.266, 16.84, 16, 2 0 0
5.039, 17.60, 100, 0 0 2
4.679, 18.97, 38, 2 0 -1
2.556, 35.11, 26, 2 2 -1
2.548, 35.22, 10, 4 0 -1
2.336, 38.54, 15, 2 2 2
2.081, 43.49, 21, 4 0 -3
2.072, 43.70, 13, 2 2 3
1.606, 57.36, 11, 4 0 -5
1.519, 60.98, 12, 6 2 0

Atomic structure:
```
data_Li6Nb3V3O16
_chemical_formula_sum 'Li12 Nb6 V6 O32'
_cell_length_a 10.5068
_cell_length_b 6.1132
_cell_length_c 10.0776
_cell_angle_alpha 90.00
_cell_angle_beta 90.57
_cell_angle_gamma 90.00
_symmetry_space_group_name_H-M 'C 1 m 1'
_symmetry_Int_Tables_number 8
_symmetry_space_group_name_Hall 'C -2y'
loop_
_atom_site_label
_atom_site_type_symbol
_atom_site_fract_x
_atom_site_fract_y
_atom_site_fract_z
Li1 Li 0.0000 0.0000 0.0000
Li2 Li 0.0057 0.0000 0.4954
Li3 Li 0.1403 0.5000 0.5102
Li4 Li 0.1650 0.5000 0.8916
Li5 Li 0.3136 0.0000 0.0157
Li6 Li 0.3342 0.0000 0.3832
Nb1 Nb 0.3147 0.5000 0.2309
Nb2 Nb 0.4075 0.2476 0.7128
V1 V 0.0672 0.2523 0.2056
V2 V 0.1624 0.0000 0.7142
O1 O 0.0140 0.5000 0.3159
O2 O 0.0697 0.2295 0.6082
O3 O 0.1471 0.0000 0.1160
O4 O 0.1619 0.5000 0.1049
O5 O 0.2370 0.2656 0.3203
O6 O 0.2551 0.2335 0.8232
O7 O 0.3332 0.0000 0.5979
O8 O 0.3404 0.5000 0.6007
O9 O 0.4228 0.2657 0.1072
O10 O 0.4844 0.0000 0.8176
O11 O 0.4895 0.5000 0.8192
O12 O 0.4929 0.5000 0.3138
```

Starting from a GGA+U-relaxed structure, the X-ray diffraction stick pattern of Li2Nb2W2O13 was computed for λ = 1.5418 Å (Cu Kα).

Most intense lines, 2θ = 10–90°, low angle first:
d/Å, 2θ/deg, Rel. int., (hkl)
6.097, 14.53, 100, 0 1 1
3.199, 27.89, 16, 0 1 3
3.165, 28.19, 27, 2 1 1
3.053, 29.25, 29, 0 2 2
3.037, 29.41, 25, 2 0 2
2.628, 34.12, 10, 2 2 0
2.422, 37.12, 13, 2 1 3
1.868, 48.76, 19, 0 4 0
1.601, 57.57, 8, 0 2 6
1.583, 58.30, 8, 4 2 2

Atomic structure:
```
data_Li2Nb2W2O13
_chemical_formula_sum 'Li4 Nb4 W4 O26'
_cell_length_a 7.4023
_cell_length_b 7.4624
_cell_length_c 10.6264
_cell_angle_alpha 90.00
_cell_angle_beta 90.00
_cell_angle_gamma 90.00
_symmetry_space_group_name_H-M 'I m m 2'
_symmetry_Int_Tables_number 44
_symmetry_space_group_name_Hall 'I 2 -2'
loop_
_atom_site_label
_atom_site_type_symbol
_atom_site_fract_x
_atom_site_fract_y
_atom_site_fract_z
Li1 Li 0.2349 0.0000 0.0000
Nb1 Nb 0.0000 0.2409 0.8103
W1 W 0.2455 0.5000 0.0613
O1 O 0.0000 0.0000 0.5167
O2 O 0.0000 0.0000 0.9008
O3 O 0.0000 0.5000 0.1251
O4 O 0.0000 0.5000 0.5591
O5 O 0.0000 0.5000 0.7657
O6 O 0.1872 0.1764 0.6975
O7 O 0.1920 0.3085 0.9532
```